[1]
The following is a simulated X-ray powder pattern of Sr3LaCuRuO8. It was derived from a structure optimized by DFT (PBE), using λ = 1.5418 Å (Cu Kα).

Peak list (8 most intense, 10° ≤ 2θ ≤ 80°, by intensity)
- 31.04°, d = 2.881 Å, I 100
- 31.94°, d = 2.802 Å, I 71
- 56.35°, d = 1.633 Å, I 38
- 45.79°, d = 1.982 Å, I 38
- 43.16°, d = 2.096 Å, I 21
- 42.55°, d = 2.125 Å, I 18
- 54.65°, d = 1.679 Å, I 16
- 64.71°, d = 1.440 Å, I 14

Crystal structure
```
data_Sr3LaCuRuO8
_chemical_formula_sum 'Sr3 La1 Cu1 Ru1 O8'
_cell_length_a 5.609
_cell_length_b 6.888
_cell_length_c 6.888
_cell_angle_alpha 47.98
_cell_angle_beta 90.00
_cell_angle_gamma 90.00
_space_group_name_H-M_alt 'P 1'
_space_group_IT_number 1
_space_group_name_Hall 'P 1'
loop_
_atom_site_label
_atom_site_fract_x
_atom_site_fract_y
_atom_site_fract_z
_atom_site_occupancy
Sr1 0.000 0.000 0.000 1
Sr2 0.000 0.283 0.283 1
Sr3 0.500 0.497 0.497 1
La1 0.500 0.782 0.782 1
Cu1 0.500 0.141 0.141 1
Ru1 0.000 0.639 0.639 1
O1 0.000 0.480 0.480 1
O2 0.000 0.804 0.804 1
O3 0.249 0.400 0.887 1
O4 0.249 0.887 0.400 1
O5 0.500 0.307 0.307 1
O6 0.500 0.962 0.962 1
O7 0.751 0.400 0.887 1
O8 0.751 0.887 0.400 1
```

[2]
The following is a simulated X-ray powder pattern of BeZnH2S. It was derived from a structure optimized by DFT (PBE), using λ = 1.5418 Å (Cu Kα).

Peak list (8 most intense, 10° ≤ 2θ ≤ 80°, by intensity)
- 31.11°, d = 2.874 Å, I 100
- 32.23°, d = 2.777 Å, I 48
- 14.25°, d = 6.215 Å, I 42
- 46.21°, d = 1.965 Å, I 33
- 28.73°, d = 3.108 Å, I 32
- 50.15°, d = 1.819 Å, I 25
- 39.28°, d = 2.294 Å, I 16
- 54.68°, d = 1.679 Å, I 16

Crystal structure
```
data_BeZnH2S
_chemical_formula_sum 'Be1 Zn1 H2 S1'
_cell_length_a 3.357
_cell_length_b 3.357
_cell_length_c 6.512
_cell_angle_alpha 104.97
_cell_angle_beta 104.97
_cell_angle_gamma 60.13
_space_group_name_H-M_alt 'P 1'
_space_group_IT_number 1
_space_group_name_Hall 'P 1'
loop_
_atom_site_label
_atom_site_fract_x
_atom_site_fract_y
_atom_site_fract_z
_atom_site_occupancy
Be1 0.000 0.000 0.000 1
Zn1 0.835 0.835 0.495 1
H1 0.167 0.167 0.498 1
H2 0.921 0.921 0.765 1
S1 0.704 0.704 0.112 1
```

[3]
The following is a simulated X-ray powder pattern of Pd3RuPt6. It was derived from a structure optimized by DFT (PBE), using λ = 1.5418 Å (Cu Kα).

Peak list (8 most intense, 10° ≤ 2θ ≤ 80°, by intensity)
- 39.16°, d = 2.301 Å, I 100
- 46.80°, d = 1.941 Å, I 49
- 39.38°, d = 2.288 Å, I 47
- 44.43°, d = 2.039 Å, I 40
- 40.58°, d = 2.223 Å, I 34
- 67.20°, d = 1.393 Å, I 30
- 65.66°, d = 1.422 Å, I 25
- 42.35°, d = 2.134 Å, I 15

Crystal structure
```
data_Pd3RuPt6
_chemical_formula_sum 'Pd3 Ru1 Pt6'
_cell_length_a 2.786
_cell_length_b 2.786
_cell_length_c 22.881
_cell_angle_alpha 90.00
_cell_angle_beta 90.00
_cell_angle_gamma 120.00
_space_group_name_H-M_alt 'P 1'
_space_group_IT_number 1
_space_group_name_Hall 'P 1'
loop_
_atom_site_label
_atom_site_fract_x
_atom_site_fract_y
_atom_site_fract_z
_atom_site_occupancy
Pd1 0.000 0.000 0.000 1
Pd2 0.000 0.000 0.303 1
Pd3 0.000 0.000 0.697 1
Ru1 0.000 0.000 0.500 1
Pt1 0.333 0.667 0.100 1
Pt2 0.333 0.667 0.405 1
Pt3 0.333 0.667 0.798 1
Pt4 0.667 0.333 0.202 1
Pt5 0.667 0.333 0.595 1
Pt6 0.667 0.333 0.900 1
```

[4]
The following is a simulated X-ray powder pattern of NdDy2Tm9. It was derived from a structure optimized by DFT (PBE), using λ = 1.5418 Å (Cu Kα).

Peak list (6 most intense, 10° ≤ 2θ ≤ 80°, by intensity)
- 31.19°, d = 2.868 Å, I 100
- 36.17°, d = 2.484 Å, I 51
- 61.96°, d = 1.498 Å, I 43
- 52.08°, d = 1.756 Å, I 36
- 65.05°, d = 1.434 Å, I 12
- 76.75°, d = 1.242 Å, I 6

Crystal structure
```
data_NdDy2Tm9
_chemical_formula_sum 'Nd1 Dy2 Tm9'
_cell_length_a 4.968
_cell_length_b 4.968
_cell_length_c 14.898
_cell_angle_alpha 90.00
_cell_angle_beta 90.00
_cell_angle_gamma 90.00
_space_group_name_H-M_alt 'P 1'
_space_group_IT_number 1
_space_group_name_Hall 'P 1'
loop_
_atom_site_label
_atom_site_fract_x
_atom_site_fract_y
_atom_site_fract_z
_atom_site_occupancy
Nd1 0.000 0.000 0.000 1
Dy1 0.000 0.000 0.334 1
Dy2 0.000 0.000 0.666 1
Tm1 0.000 0.500 0.169 1
Tm2 0.000 0.500 0.500 1
Tm3 0.000 0.500 0.831 1
Tm4 0.500 0.000 0.169 1
Tm5 0.500 0.000 0.500 1
Tm6 0.500 0.000 0.831 1
Tm7 0.500 0.500 0.000 1
Tm8 0.500 0.500 0.335 1
Tm9 0.500 0.500 0.665 1
```

[5]
The following is a simulated X-ray powder pattern of K4TmNp3S8. It was derived from a structure optimized by DFT (PBE), using λ = 1.5418 Å (Cu Kα).

Peak list (8 most intense, 10° ≤ 2θ ≤ 80°, by intensity)
- 12.04°, d = 7.353 Å, I 100
- 30.07°, d = 2.972 Å, I 99
- 26.53°, d = 3.360 Å, I 47
- 25.57°, d = 3.484 Å, I 40
- 41.57°, d = 2.172 Å, I 36
- 44.48°, d = 2.037 Å, I 34
- 38.30°, d = 2.350 Å, I 25
- 46.25°, d = 1.963 Å, I 23

Crystal structure
```
data_K4TmNp3S8
_chemical_formula_sum 'K4 Tm1 Np3 S8'
_cell_length_a 8.729
_cell_length_b 8.729
_cell_length_c 8.729
_cell_angle_alpha 55.65
_cell_angle_beta 55.65
_cell_angle_gamma 55.65
_space_group_name_H-M_alt 'P 1'
_space_group_IT_number 1
_space_group_name_Hall 'P 1'
loop_
_atom_site_label
_atom_site_fract_x
_atom_site_fract_y
_atom_site_fract_z
_atom_site_occupancy
K1 0.000 0.000 0.000 1
K2 0.000 0.500 0.500 1
K3 0.500 0.000 0.500 1
K4 0.500 0.500 0.000 1
Tm1 0.500 0.500 0.500 1
Np1 0.000 0.000 0.500 1
Np2 0.000 0.500 0.000 1
Np3 0.500 0.000 0.000 1
S1 0.233 0.233 0.233 1
S2 0.239 0.731 0.731 1
S3 0.269 0.269 0.761 1
S4 0.269 0.761 0.269 1
S5 0.731 0.239 0.731 1
S6 0.731 0.731 0.239 1
S7 0.761 0.269 0.269 1
S8 0.767 0.767 0.767 1
```

[6]
The following is a simulated X-ray powder pattern of AcTmScIn. It was derived from a structure optimized by DFT (PBE), using λ = 1.5418 Å (Cu Kα).

Peak list (8 most intense, 10° ≤ 2θ ≤ 80°, by intensity)
- 32.72°, d = 2.737 Å, I 100
- 58.40°, d = 1.580 Å, I 38
- 19.86°, d = 4.470 Å, I 19
- 46.95°, d = 1.935 Å, I 18
- 78.07°, d = 1.224 Å, I 16
- 68.57°, d = 1.369 Å, I 12
- 38.57°, d = 2.334 Å, I 11
- 22.98°, d = 3.871 Å, I 6

Crystal structure
```
data_AcTmScIn
_chemical_formula_sum 'Ac1 Tm1 Sc1 In1'
_cell_length_a 5.474
_cell_length_b 5.474
_cell_length_c 5.474
_cell_angle_alpha 60.00
_cell_angle_beta 60.00
_cell_angle_gamma 60.00
_space_group_name_H-M_alt 'P 1'
_space_group_IT_number 1
_space_group_name_Hall 'P 1'
loop_
_atom_site_label
_atom_site_fract_x
_atom_site_fract_y
_atom_site_fract_z
_atom_site_occupancy
Ac1 0.000 0.000 0.000 1
Tm1 0.750 0.750 0.750 1
Sc1 0.250 0.250 0.250 1
In1 0.500 0.500 0.500 1
```

[7]
The following is a simulated X-ray powder pattern of Nd4GePt. It was derived from a structure optimized by DFT (PBE), using λ = 1.5418 Å (Cu Kα).

Peak list (8 most intense, 10° ≤ 2θ ≤ 80°, by intensity)
- 33.77°, d = 2.654 Å, I 100
- 32.81°, d = 2.730 Å, I 88
- 35.27°, d = 2.545 Å, I 83
- 16.76°, d = 5.290 Å, I 79
- 29.60°, d = 3.018 Å, I 65
- 44.77°, d = 2.024 Å, I 42
- 51.20°, d = 1.784 Å, I 36
- 39.25°, d = 2.295 Å, I 35

Crystal structure
```
data_Nd4GePt
_chemical_formula_sum 'Nd8 Ge2 Pt2'
_cell_length_a 10.973
_cell_length_b 10.973
_cell_length_c 6.295
_cell_angle_alpha 90.00
_cell_angle_beta 90.00
_cell_angle_gamma 151.19
_space_group_name_H-M_alt 'P 1'
_space_group_IT_number 1
_space_group_name_Hall 'P 1'
loop_
_atom_site_label
_atom_site_fract_x
_atom_site_fract_y
_atom_site_fract_z
_atom_site_occupancy
Nd1 0.055 0.945 0.500 1
Nd2 0.196 0.804 0.760 1
Nd3 0.211 0.789 0.275 1
Nd4 0.390 0.610 0.532 1
Nd5 0.610 0.390 0.032 1
Nd6 0.789 0.211 0.775 1
Nd7 0.804 0.196 0.260 1
Nd8 0.945 0.055 0.000 1
Ge1 0.340 0.660 0.013 1
Ge2 0.660 0.340 0.513 1
Pt1 0.078 0.922 0.008 1
Pt2 0.922 0.078 0.508 1
```